Diffraction record for BiMoO5. The XRD peak list is simulated, not measured: it uses a DFT-relaxed cell (PBE+U, the Materials Project) and Cu Kα (weighted mean of Kα1 and Kα2).

Structure:
Lattice parameters (Å, degrees): 5.7867 9.1933 11.3841 90.04 90.02 107.58
Positions (direct):
1 Bi 0.1661 0.1663 0.0890
2 Bi 0.3333 0.3335 0.5890
3 Bi 0.6667 0.6665 0.4110
4 Bi 0.8339 0.8337 0.9110
5 Mo 0.2139 0.0522 0.3566
6 Mo 0.2857 0.4476 0.8564
7 Mo 0.7143 0.5524 0.1436
8 Mo 0.7861 0.9478 0.6434
9 O 0.0269 0.1571 0.2964
10 O 0.0334 0.8684 0.4143
11 O 0.0744 0.3337 0.9656
12 O 0.1296 0.4708 0.7267
13 O 0.1796 0.0127 0.9471
14 O 0.3212 0.4875 0.4474
15 O 0.3707 0.0294 0.2267
16 O 0.4255 0.1662 0.4655
17 O 0.4665 0.6314 0.9142
18 O 0.4725 0.3427 0.7960
19 O 0.5275 0.6573 0.2040
20 O 0.5335 0.3686 0.0858
21 O 0.5745 0.8338 0.5345
22 O 0.6293 0.9706 0.7733
23 O 0.6788 0.5125 0.5526
24 O 0.8204 0.9873 0.0529
25 O 0.8704 0.5292 0.2733
26 O 0.9256 0.6663 0.0344
27 O 0.9666 0.1316 0.5857
28 O 0.9731 0.8429 0.7036

Top 10 peaks for 2θ from 10° to 80°, by intensity:
2θ (°)	I/Imax
16.20	100.0
26.87	43.6
22.86	40.4
21.73	32.9
18.59	29.3
31.97	22.0
35.53	21.8
40.81	19.4
31.18	16.9
38.38	15.3



Diffraction record for Bi14MoO24. The XRD peak list is simulated, not measured: it uses a DFT-relaxed cell (PBE+U, the Materials Project) and Cu Kα (weighted mean of Kα1 and Kα2).

Structure:
Lattice parameters (Å, degrees): 10.5602 10.5602 10.5602 131.28 131.28 71.36
Positions (direct):
1 Bi 0.0386 0.2200 0.5916
2 Bi 0.0618 0.7026 0.7643
3 Bi 0.1597 0.1597 0.0000
4 Bi 0.2200 0.6284 0.1814
5 Bi 0.2974 0.0618 0.3592
6 Bi 0.3716 0.5530 0.5916
7 Bi 0.4470 0.0386 0.8186
8 Bi 0.5530 0.9614 0.1814
9 Bi 0.6284 0.4470 0.4084
10 Bi 0.7026 0.9382 0.6408
11 Bi 0.7800 0.3716 0.8186
12 Bi 0.8403 0.8403 0.0000
13 Bi 0.9382 0.2974 0.2357
14 Bi 0.9614 0.7800 0.4084
15 Mo 0.5000 0.5000 0.0000
16 O 0.0016 0.6748 0.1689
17 O 0.0501 0.1008 0.3137
18 O 0.1008 0.7871 0.0507
19 O 0.1156 0.6156 0.5000
20 O 0.1673 0.9984 0.6732
21 O 0.2129 0.2636 0.3137
22 O 0.2636 0.9499 0.0507
23 O 0.2834 0.5124 0.7958
24 O 0.3252 0.4941 0.3268
25 O 0.3844 0.8844 0.5000
26 O 0.4876 0.2834 0.7709
27 O 0.4941 0.1673 0.1689
28 O 0.5059 0.8327 0.8311
29 O 0.5124 0.7166 0.2291
30 O 0.6156 0.1156 0.5000
31 O 0.6748 0.5059 0.6732
32 O 0.7166 0.4876 0.2042
33 O 0.7364 0.0501 0.9493
34 O 0.7871 0.7364 0.6863
35 O 0.8327 0.0016 0.3268
36 O 0.8844 0.3844 0.5000
37 O 0.8992 0.2129 0.9493
38 O 0.9499 0.8992 0.6863
39 O 0.9984 0.3252 0.8311

Top 10 peaks for 2θ from 10° to 80°, by intensity:
2θ (°)	I/Imax
27.71	100.0
45.74	29.2
55.11	26.2
32.50	25.6
31.28	18.1
53.52	16.6
46.63	12.7
73.66	11.6
57.23	11.2
74.82	5.5